Entry 1:
This entry pairs a crystal structure of YHoAsO2 with its calculated powder diffraction line list. Radiation: CuKα. Structure: a crystal structure in Alexandria, relaxed with GGA-PBE.

Crystal structure
Cell: 3.7898 3.7898 12.8312 Å, 90.00 90.00 90.00°
Space group I4mm (No. 107)
Inequivalent atoms, fractional coordinates:
1 Y 0.0000 0.0000 0.0000 x2
2 Ho 0.0000 0.0000 0.3213 x2
3 As 0.0000 0.0000 0.6602 x2
4 O 0.0000 0.5000 0.4090 x4

Principal peaks in the range 2θ = 5–70°, low angle first:
- (0 0 2), 6.416 Å, I = 14
- (1 0 1), 3.635 Å, I = 12
- (1 0 3), 2.836 Å, I = 100
- (1 1 0), 2.680 Å, I = 35
- (1 1 2), 2.473 Å, I = 3
- (0 0 6), 2.139 Å, I = 9
- (1 1 4), 2.057 Å, I = 6
- (2 0 0), 1.895 Å, I = 18
- (2 1 1), 1.680 Å, I = 3
- (1 1 6), 1.672 Å, I = 24
- (2 1 3), 1.576 Å, I = 34
- (2 0 6), 1.418 Å, I = 10



Entry 2:
This entry pairs a crystal structure of Na2TmAgF6 with its calculated powder diffraction line list. Radiation: CuKα. Structure: a crystal structure in Alexandria, relaxed with GGA-PBE.

Crystal structure
Cell: 5.8697 5.9838 10.6407 Å, 90.00 122.76 90.00°
Space group P2_1/c (No. 14)
Inequivalent atoms, fractional coordinates:
1 Na 0.2129 0.0258 0.2165 x4
2 Tm 0.5000 0.0000 0.0000 x2
3 Ag 0.0000 0.0000 0.5000 x2
4 F 0.1567 0.1717 0.9753 x4
5 F 0.2108 0.7394 0.8730 x4
6 F 0.4439 0.1451 0.8008 x4

Principal peaks in the range 2θ = 5–70°, low angle first:
- (0 1 1), 4.974 Å, I = 22
- (0 0 2), 4.474 Å, I = 60
- (1 1 -1), 4.190 Å, I = 100
- (1 1 1), 3.072 Å, I = 80
- (1 1 -3), 3.045 Å, I = 70
- (0 2 0), 2.992 Å, I = 24
- (2 0 -2), 2.935 Å, I = 27
- (0 2 2), 2.487 Å, I = 23
- (2 2 -2), 2.095 Å, I = 36
- (1 3 -1), 1.890 Å, I = 21
- (0 2 4), 1.791 Å, I = 25
- (1 3 -3), 1.737 Å, I = 20



Entry 3:
This entry pairs a crystal structure of PaInB with its calculated powder diffraction line list. Radiation: CuKα. Structure: a crystal structure in Alexandria, relaxed with GGA-PBE.

Crystal structure
Cell: 3.4864 22.5055 3.1377 Å, 90.00 90.00 90.00°
Space group Cmcm (No. 63)
Inequivalent atoms, fractional coordinates:
1 Pa 0.0000 0.0706 0.2500 x4
2 In 0.0000 0.2999 0.7500 x4
3 B 0.0000 0.4830 0.2500 x4

Principal peaks in the range 2θ = 5–70°, low angle first:
- (0 2 0), 11.253 Å, I = 41
- (0 6 0), 3.751 Å, I = 29
- (1 1 0), 3.445 Å, I = 47
- (1 3 0), 3.162 Å, I = 30
- (0 2 1), 3.022 Å, I = 80
- (0 8 0), 2.813 Å, I = 50
- (1 5 0), 2.756 Å, I = 73
- (0 6 1), 2.407 Å, I = 33
- (1 3 1), 2.227 Å, I = 100
- (1 5 1), 2.071 Å, I = 32
- (1 11 1), 1.538 Å, I = 40
- (2 2 1), 1.510 Å, I = 21



Entry 4:
This entry pairs a crystal structure of Ca8In3 with its calculated powder diffraction line list. Radiation: CuKα. Structure: a crystal structure in Alexandria, relaxed with GGA-PBE.

Crystal structure
Cell: 9.5916 9.6687 9.7481 Å, 98.94 101.14 119.72°
Space group P-1 (No. 2)
Inequivalent atoms, fractional coordinates:
1 Ca 0.0327 0.2024 0.1494 x2
2 Ca 0.0390 0.2065 0.7952 x2
3 Ca 0.1672 0.6209 0.3887 x2
4 Ca 0.2019 0.9991 0.6124 x2
5 Ca 0.2725 0.6535 0.7975 x2
6 Ca 0.3793 0.8999 0.1462 x2
7 Ca 0.4207 0.2694 0.3916 x2
8 Ca 0.4597 0.5608 0.1704 x2
9 In 0.0000 0.5000 0.0000 x1
10 In 0.1762 0.3393 0.5259 x2
11 In 0.3269 0.1621 0.9998 x2
12 In 0.5000 0.0000 0.5000 x1

Principal peaks in the range 2θ = 5–70°, low angle first:
- (-2 1 1), 4.569 Å, I = 35
- (1 -2 1), 4.537 Å, I = 37
- (-1 2 1), 3.980 Å, I = 16
- (-2 1 3), 2.830 Å, I = 28
- (0 3 -1), 2.799 Å, I = 23
- (1 1 2), 2.775 Å, I = 100
- (1 1 -4), 2.403 Å, I = 11
- (-1 2 3), 2.399 Å, I = 11
- (2 -4 0), 2.387 Å, I = 21
- (4 -2 0), 2.348 Å, I = 15
- (-5 1 2), 1.805 Å, I = 12
- (4 -5 3), 1.592 Å, I = 9



Entry 5:
This entry pairs a crystal structure of Pm2Nd2Ho3 with its calculated powder diffraction line list. Radiation: CuKα. Structure: a crystal structure in Alexandria, relaxed with GGA-PBE.

Crystal structure
Cell: 6.4244 12.6271 6.9539 Å, 90.00 122.52 90.00°
Space group P2_1/c (No. 14)
Inequivalent atoms, fractional coordinates:
1 Pm 0.0859 0.1133 0.4361 x4
2 Nd 0.4976 0.2086 0.3357 x4
3 Ho 0.0815 0.6130 0.6482 x4
4 Ho 0.5000 0.0000 0.0000 x2

Principal peaks in the range 2θ = 5–70°, low angle first:
- (1 3 -1), 3.417 Å, I = 43
- (2 1 -1), 3.106 Å, I = 36
- (0 1 2), 2.857 Å, I = 100
- (2 1 -2), 2.845 Å, I = 45
- (0 4 1), 2.778 Å, I = 15
- (1 4 0), 2.727 Å, I = 77
- (2 0 0), 2.709 Å, I = 32
- (1 3 -2), 2.681 Å, I = 52
- (1 1 -3), 2.231 Å, I = 16
- (1 7 -2), 1.602 Å, I = 16
- (0 5 3), 1.546 Å, I = 14
- (2 6 1), 1.475 Å, I = 16



Entry 6:
This entry pairs a crystal structure of Tl3Pt5 with its calculated powder diffraction line list. Radiation: CuKα. Structure: a crystal structure in Alexandria, relaxed with GGA-PBE.

Crystal structure
Cell: 8.1003 8.1003 5.4352 Å, 90.00 90.00 120.00°
Space group P6_3/mcm (No. 193)
Inequivalent atoms, fractional coordinates:
1 Tl 0.0000 0.3944 0.2500 x6
2 Pt 0.0000 0.1984 0.7500 x6
3 Pt 0.3333 0.6667 0.0000 x4

Principal peaks in the range 2θ = 5–70°, low angle first:
- (0 0 2), 2.718 Å, I = 17
- (2 1 0), 2.651 Å, I = 34
- (1 0 2), 2.534 Å, I = 21
- (2 1 1), 2.383 Å, I = 100
- (3 0 0), 2.338 Å, I = 21
- (1 1 2), 2.257 Å, I = 46
- (2 0 2), 2.148 Å, I = 12
- (3 1 0), 1.946 Å, I = 15
- (2 2 1), 1.898 Å, I = 31
- (2 2 2), 1.624 Å, I = 19
- (2 1 3), 1.496 Å, I = 24
- (5 0 0), 1.403 Å, I = 11



Entry 7:
This entry pairs a crystal structure of Tl3In2I2Br4 with its calculated powder diffraction line list. Radiation: CuKα. Structure: a crystal structure in Alexandria, relaxed with GGA-PBE.

Crystal structure
Cell: 5.8170 5.8170 24.5905 Å, 90.00 90.00 90.00°
Space group I4/mmm (No. 139)
Inequivalent atoms, fractional coordinates:
1 Tl 0.0000 0.0000 0.0000 x2
2 Tl 0.0000 0.0000 0.1733 x4
3 In 0.0000 0.0000 0.4356 x4
4 I 0.0000 0.0000 0.3075 x4
5 Br 0.0000 0.5000 0.0793 x8

Principal peaks in the range 2θ = 5–70°, low angle first:
- (1 1 0), 4.113 Å, I = 40
- (1 0 5), 3.756 Å, I = 11
- (0 0 8), 3.074 Å, I = 11
- (1 0 7), 3.007 Å, I = 27
- (2 0 0), 2.906 Å, I = 100
- (2 0 8), 2.113 Å, I = 15
- (2 1 7), 2.090 Å, I = 23
- (2 2 0), 2.057 Å, I = 21
- (3 1 0), 1.839 Å, I = 10
- (3 0 7), 1.697 Å, I = 9
- (3 1 6), 1.678 Å, I = 17
- (3 2 7), 1.466 Å, I = 7



Entry 8:
This entry pairs a crystal structure of Y3Tm7Tl2 with its calculated powder diffraction line list. Radiation: CuKα. Structure: a crystal structure in Alexandria, relaxed with GGA-PBE.

Crystal structure
Cell: 5.5671 3.5820 18.1791 Å, 90.00 93.26 90.00°
Space group P2/m (No. 10)
Inequivalent atoms, fractional coordinates:
1 Y 0.0000 0.0000 0.0000 x1
2 Y 0.2733 0.5000 0.6329 x2
3 Tm 0.1675 0.5000 0.1487 x2
4 Tm 0.2423 0.0000 0.4587 x2
5 Tm 0.3317 0.0000 0.8310 x2
6 Tm 0.5000 0.5000 0.0000 x1
7 Tl 0.2097 0.0000 0.2920 x2

Principal peaks in the range 2θ = 5–70°, low angle first:
- (0 0 6), 3.025 Å, I = 26
- (1 1 -2), 2.884 Å, I = 31
- (1 1 2), 2.832 Å, I = 100
- (2 0 -1), 2.774 Å, I = 65
- (1 0 -6), 2.725 Å, I = 55
- (1 1 3), 2.663 Å, I = 20
- (0 0 7), 2.594 Å, I = 41
- (1 1 -4), 2.546 Å, I = 47
- (1 1 -5), 2.353 Å, I = 24
- (0 2 0), 1.791 Å, I = 23
- (3 1 1), 1.632 Å, I = 21
- (2 2 -1), 1.505 Å, I = 20